Calculated X-ray powder pattern of Cr4O5F for copper Kα, from a cell relaxed with PBE+U.

Lattice parameters (Å, degrees): 5.0462 6.9963 6.2747 90.00 92.72 90.00
Space group P2_1/m (No. 11)
Symmetry-distinct sites (fractional):
Cr  0.0137  0.2500  0.0004 x2
Cr  0.0244  0.2500  0.5005 x2
Cr  0.4835  0.0109  0.7518 x4
O  0.2447  0.5471  0.4803 x4
O  0.2551  0.5427  0.9999 x4
O  0.2831  0.2500  0.7403 x2
F  0.3546  0.2500  0.2556 x2

Peak list (8 most intense, 2θ from 10° to 80°, low angle first)
- 2θ = 31.12°, intensity 100.0, hkl 1 2 0
- 2θ = 32.93°, intensity 54.0, hkl 1 0 -2
- 2θ = 34.41°, intensity 54.3, hkl 1 0 2
- 2θ = 38.57°, intensity 21.3, hkl 0 2 2
- 2θ = 52.30°, intensity 19.0, hkl 0 4 0
- 2θ = 52.49°, intensity 39.5, hkl 2 2 -2
- 2θ = 54.52°, intensity 34.3, hkl 2 2 2
- 2θ = 64.12°, intensity 17.2, hkl 1 4 2